(1)
Structure and computed powder diffractogram of Tm3Sb2O (the PBE geometry in Alexandria; λ = 1.5418 Å (Cu Kα)).

```
data_Tm3Sb2O
_chemical_formula_sum 'Tm6 Sb4 O2'
_symmetry_space_group_name_H-M 'P 1'
_symmetry_Int_Tables_number 1
_cell_length_a 6.887
_cell_length_b 6.887
_cell_length_c 6.341
_cell_angle_alpha 90.00
_cell_angle_beta 90.00
_cell_angle_gamma 71.86
loop_
_symmetry_equiv_pos_as_xyz
'x,y,z'
loop_
_atom_site_label
_atom_site_fract_x
_atom_site_fract_y
_atom_site_fract_z
_atom_site_occupancy
Tm1 0.147 0.853 0.500 1
Tm2 0.348 0.351 0.804 1
Tm3 0.351 0.348 0.304 1
Tm4 0.649 0.652 0.804 1
Tm5 0.652 0.649 0.304 1
Tm6 0.853 0.147 0.000 1
Sb1 0.022 0.670 0.063 1
Sb2 0.330 0.978 0.063 1
Sb3 0.670 0.022 0.563 1
Sb4 0.978 0.330 0.563 1
O1 0.422 0.578 0.561 1
O2 0.578 0.422 0.061 1
```

Main lines, sorted by position (2θ = 10–80°):
d [Å]	two_theta	intensity
3.377	26.39	51
2.981	29.98	100
2.908	30.75	35
2.853	31.35	79
2.619	34.24	70
2.495	36.00	66
2.312	38.96	56
2.181	41.39	27
2.158	41.86	28
1.859	49.00	50

(2)
Structure and computed powder diffractogram of KAs2PtSe (the PBE geometry in Alexandria; λ = 1.5418 Å (Cu Kα)).

```
data_KAs2PtSe
_chemical_formula_sum 'K1 As2 Pt1 Se1'
_symmetry_space_group_name_H-M 'P 1'
_symmetry_Int_Tables_number 1
_cell_length_a 4.884
_cell_length_b 4.884
_cell_length_c 5.609
_cell_angle_alpha 90.00
_cell_angle_beta 90.00
_cell_angle_gamma 90.00
loop_
_symmetry_equiv_pos_as_xyz
'x,y,z'
loop_
_atom_site_label
_atom_site_fract_x
_atom_site_fract_y
_atom_site_fract_z
_atom_site_occupancy
K1 0.000 0.000 0.000 1
As1 0.000 0.500 0.500 1
As2 0.500 0.000 0.500 1
Pt1 0.500 0.500 0.500 1
Se1 0.500 0.500 0.000 1
```

Main lines, sorted by position (2θ = 10–80°):
d [Å]	two_theta	intensity
5.609	15.80	65
4.884	18.16	100
3.683	24.16	45
2.804	31.91	53
2.442	36.80	72
2.432	36.96	35
2.239	40.28	27
2.184	41.33	26
1.842	49.49	61
1.470	63.24	29